[1]
The following is a calculated powder diffraction line list of MnP2O7. It was derived from a PBE+U-relaxed structure, using Cu Kα, 1.54184 Å.

Atomic structure:
```
data_MnP2O7
_chemical_formula_sum 'Mn4 P8 O28'
_space_group_name_H-M_alt 'P 1 21/c 1'
_space_group_IT_number 14
_cell_length_a 8.4910
_cell_length_b 5.0160
_cell_length_c 13.2475
_cell_angle_alpha 90.00
_cell_angle_beta 115.75
_cell_angle_gamma 90.00
loop_
_space_group_symop_operation_xyz
'x,y,z'
'-x,-y,-z'
'-x,y+1/2,-z+1/2'
'x,-y+1/2,z+1/2'
loop_
_atom_site_label
_atom_site_type_symbol
_atom_site_fract_x
_atom_site_fract_y
_atom_site_fract_z
_atom_site_occupancy
Mn1 Mn 0.2324 0.2477 0.4715 1
P1 P 0.1857 0.7396 0.6148 1
P2 P 0.3355 0.7426 0.8649 1
O1 O 0.0121 0.6811 0.1153 1
O2 O 0.1896 0.0534 0.0824 1
O3 O 0.2105 0.5564 0.3796 1
O4 O 0.2543 0.5780 0.0510 1
O5 O 0.2732 0.0470 0.3610 1
O6 O 0.3290 0.7201 0.2426 1
O7 O 0.4767 0.1996 0.0541 1
```

Principal peaks in the range 2θ = 10–90°, sorted by position:
| d [Å] | I (rel.) | index |
| --- | --- | --- |
| 5.966 | 55 | 0 0 2 |
| 3.896 | 100 | 1 1 -2 |
| 3.825 | 65 | 2 0 0 |
| 2.761 | 30 | 1 1 -4 |
| 2.726 | 13 | 2 0 2 |
| 2.508 | 13 | 0 2 0 |
| 2.465 | 10 | 3 1 -2 |
| 2.197 | 9 | 2 0 -6 |
| 1.652 | 7 | 2 2 -6 |
| 1.614 | 7 | 1 3 -2 |
| 1.492 | 6 | 1 3 -4 |
| 1.440 | 6 | 3 3 -2 |

[2]
The following is a calculated powder diffraction line list of Sr2LaCrO6. It was derived from a PBE+U-relaxed structure, using Cu Kα, 1.54184 Å.

Atomic structure:
```
data_Sr2LaCrO6
_chemical_formula_sum 'Sr8 La4 Cr4 O24'
_space_group_name_H-M_alt 'F m -3 m'
_space_group_IT_number 225
_space_group_name_Hall '-F 4 2 3'
_cell_length_a 8.4031
_cell_length_b 8.4031
_cell_length_c 8.4031
_cell_angle_alpha 90.00
_cell_angle_beta 90.00
_cell_angle_gamma 90.00
loop_
_atom_site_label
_atom_site_type_symbol
_atom_site_fract_x
_atom_site_fract_y
_atom_site_fract_z
_atom_site_occupancy
Sr1 Sr 0.2500 0.2500 0.2500 1
La1 La 0.0000 0.0000 0.0000 1
Cr1 Cr 0.0000 0.0000 0.5000 1
O1 O 0.0000 0.0000 0.2752 1
```

Principal peaks in the range 2θ = 10–90°, sorted by position:
| d [Å] | I (rel.) | index |
| --- | --- | --- |
| 4.852 | 8 | 1 1 1 |
| 4.202 | 3 | 2 0 0 |
| 2.971 | 100 | 2 2 0 |
| 2.534 | 9 | 3 1 1 |
| 2.101 | 34 | 4 0 0 |
| 1.928 | 6 | 3 3 1 |
| 1.715 | 38 | 4 2 2 |
| 1.485 | 20 | 4 4 0 |
| 1.329 | 18 | 6 2 0 |
| 1.213 | 6 | 4 4 4 |
| 1.123 | 21 | 6 4 2 |
| 1.094 | 3 | 7 3 1 |